For Li3MnF7, a cell relaxed with GGA+U gives the calculated X-ray powder pattern in this record (a wavelength of 1.5418 Å).
No peak broadening, texture or thermal motion is included.

Structural model:
Cell lengths 5.281, 7.037, 8.021 Å; angles 71.30, 75.82, 83.93 degrees
Space group P1 (No. 1)
Unique sites:
1 Li 0.000 0.000 0.000 [1 per cell]
2 Li 0.063 0.448 0.038 [1 per cell]
3 Li 0.332 0.462 0.568 [1 per cell]
4 Li 0.402 0.891 0.641 [1 per cell]
5 Li 0.492 0.170 0.888 [1 per cell]
6 Li 0.859 0.695 0.422 [1 per cell]
7 Mn 0.483 0.740 0.111 [1 per cell]
8 Mn 0.909 0.169 0.520 [1 per cell]
9 F 0.005 0.418 0.525 [1 per cell]
10 F 0.142 0.811 0.215 [1 per cell]
11 F 0.151 0.239 0.950 [1 per cell]
12 F 0.245 0.091 0.449 [1 per cell]
13 F 0.346 0.633 0.685 [1 per cell]
14 F 0.362 0.509 0.111 [1 per cell]
15 F 0.397 0.885 0.892 [1 per cell]
16 F 0.557 0.631 0.337 [1 per cell]
17 F 0.564 0.237 0.622 [1 per cell]
18 F 0.616 0.982 0.100 [1 per cell]
19 F 0.785 0.929 0.520 [1 per cell]
20 F 0.812 0.673 0.004 [1 per cell]
21 F 0.871 0.289 0.292 [1 per cell]
22 F 0.941 0.053 0.756 [1 per cell]

Top 10 peaks for 2θ = 10–90°, in order of rising 2θ:
index, 2θ (°), Rel. int.
0 1 1, 14.92, 1000
1 0 1, 18.74, 197
0 1 -1, 20.46, 536
1 1 0, 21.58, 236
1 -1 0, 22.22, 450
1 0 -1, 23.24, 257
0 0 2, 24.04, 274
1 3 1, 40.86, 332
-2 1 1, 41.19, 298
1 0 4, 48.40, 215



For LiMnF5, a cell relaxed with GGA+U gives the calculated X-ray powder pattern in this record (a wavelength of 1.5418 Å).
No peak broadening, texture or thermal motion is included.

Structural model:
Cell lengths 6.833, 7.090, 3.790 Å; angles 90.00, 90.00, 90.00 degrees
Space group Pmmn (No. 59, origin choice 2)
Unique sites:
1 Li 0.250 0.250 0.037 [2 per cell]
2 Mn 0.250 0.750 0.241 [2 per cell]
3 F 0.013 0.250 0.761 [4 per cell]
4 F 0.250 0.005 0.248 [4 per cell]
5 F 0.250 0.750 0.744 [2 per cell]

Top 10 peaks for 2θ = 10–90°, in order of rising 2θ:
index, 2θ (°), Rel. int.
1 1 0, 18.03, 1000
0 2 0, 25.12, 334
2 0 0, 26.08, 306
0 1 1, 26.67, 465
1 0 1, 26.90, 459
1 3 0, 40.38, 134
3 1 0, 41.65, 149
0 0 2, 48.01, 160
0 4 0, 51.56, 143
1 1 2, 51.69, 136



- Which formula does entry 1 have?
  Li3MnF7